# Ba5SiCl6O4
Simulated powder X-ray diffraction pattern, Cu Ka. Input: a crystal structure in the Materials Project, relaxed with PBE.
Peak positions follow from Bragg's law for the DFT cell and can differ from measured ones.

Most intense lines, 10 to 90 degrees two-theta, by intensity:
| 2theta | d_spacing | I (rel.) |
| --- | --- | --- |
| 22.1 | 4.025 | 100 |
| 32.1 | 2.790 | 100 |
| 20.9 | 4.251 | 90 |
| 29.0 | 3.075 | 65 |
| 23.6 | 3.772 | 64 |
| 32.7 | 2.736 | 62 |
| 29.2 | 3.057 | 58 |
| 25.0 | 3.568 | 49 |
| 41.1 | 2.197 | 48 |
| 33.4 | 2.682 | 47 |

Structure:
```
data_Ba5SiCl6O4
_chemical_formula_sum 'Ba10 Si2 Cl12 O8'
_space_group_name_H-M_alt 'P 1'
_space_group_IT_number 1
_cell_length_a 8.9286
_cell_length_b 8.9286
_cell_length_c 11.8539
_cell_angle_alpha 97.68
_cell_angle_beta 97.68
_cell_angle_gamma 114.45
loop_
_space_group_symop_operation_xyz
'x,y,z'
loop_
_atom_site_label
_atom_site_type_symbol
_atom_site_fract_x
_atom_site_fract_y
_atom_site_fract_z
Ba1 Ba 0.0774 0.2337 0.6338
Ba2 Ba 0.2016 0.7984 0.7500
Ba3 Ba 0.2337 0.0774 0.1338
Ba4 Ba 0.3160 0.5710 0.0203
Ba5 Ba 0.4290 0.6840 0.4797
Ba6 Ba 0.5710 0.3160 0.5203
Ba7 Ba 0.6840 0.4290 0.9797
Ba8 Ba 0.7663 0.9226 0.8662
Ba9 Ba 0.7984 0.2016 0.2500
Ba10 Ba 0.9226 0.7663 0.3661
Si1 Si 0.4226 0.5774 0.7500
Si2 Si 0.5774 0.4226 0.2500
Cl1 Cl 0.0000 0.5000 0.5000
Cl2 Cl 0.0192 0.7200 0.9513
Cl3 Cl 0.1435 0.2018 0.3662
Cl4 Cl 0.2018 0.1435 0.8662
Cl5 Cl 0.2418 0.7582 0.2500
Cl6 Cl 0.2800 0.9808 0.5487
Cl7 Cl 0.5000 0.0000 0.0000
Cl8 Cl 0.7200 0.0192 0.4513
Cl9 Cl 0.7582 0.2418 0.7500
Cl10 Cl 0.7982 0.8565 0.1338
Cl11 Cl 0.8565 0.7982 0.6338
Cl12 Cl 0.9808 0.2800 0.0487
O1 O 0.2363 0.5233 0.7860
O2 O 0.4021 0.4428 0.6324
O3 O 0.4428 0.4021 0.1324
O4 O 0.4767 0.7637 0.7140
O5 O 0.5233 0.2363 0.2860
O6 O 0.5572 0.5979 0.8676
O7 O 0.5979 0.5572 0.3676
O8 O 0.7637 0.4767 0.2140
```